# NbCoS2
Calculated powder diffraction line list, Cu Ka. Input: a structure optimized by DFT (GGA-PBE).
Peak positions follow from Bragg's law for the DFT cell and can differ from measured ones.

Top 10 peaks for 5 to 70 degrees two-theta, in order of falling intensity:
- 2θ 44.0, rel. 100
- 2θ 31.8, rel. 94
- 2θ 33.8, rel. 81
- 2θ 31.5, rel. 70
- 2θ 13.6, rel. 60
- 2θ 41.7, rel. 58
- 2θ 46.9, rel. 50
- 2θ 17.0, rel. 47
- 2θ 44.7, rel. 44
- 2θ 47.3, rel. 38

Crystal structure
Lattice parameters (Å, degrees): 5.6820 3.3489 13.0308 90.00 90.00 90.00
Fractional coordinates of all 16 atoms:
Nb: 0.2034 0.2500 0.0630
Nb: 0.2966 0.7500 0.5630
Nb: 0.7034 0.2500 0.4370
Nb: 0.7966 0.7500 0.9370
Co: 0.1382 0.2500 0.8578
Co: 0.3618 0.7500 0.3578
Co: 0.6382 0.2500 0.6422
Co: 0.8618 0.7500 0.1422
S: 0.1617 0.2500 0.4223
S: 0.2159 0.7500 0.1997
S: 0.2841 0.2500 0.6997
S: 0.3383 0.7500 0.9223
S: 0.6617 0.2500 0.0777
S: 0.7159 0.7500 0.3003
S: 0.7841 0.2500 0.8003
S: 0.8383 0.7500 0.5777

***

# Nb2CoS4
Calculated powder diffraction line list, Cu Ka. Input: a structure optimized by DFT (GGA-PBE).
Peak positions follow from Bragg's law for the DFT cell and can differ from measured ones.

Top 10 peaks for 5 to 70 degrees two-theta, in order of falling intensity:
- 2θ 29.7, rel. 100
- 2θ 51.9, rel. 73
- 2θ 36.0, rel. 51
- 2θ 47.4, rel. 34
- 2θ 15.4, rel. 20
- 2θ 25.3, rel. 15
- 2θ 60.9, rel. 12
- 2θ 64.8, rel. 11
- 2θ 39.4, rel. 7
- 2θ 44.5, rel. 6

Crystal structure
Lattice parameters (Å, degrees): 7.0476 7.0476 7.0476 119.94 119.94 90.11
Fractional coordinates of all 14 atoms:
Nb: 0.0000 0.0000 0.0000
Nb: 0.0000 0.0000 0.5000
Nb: 0.0000 0.5000 0.0000
Nb: 0.5000 0.0000 0.5000
Co: 0.3750 0.6250 0.7500
Co: 0.6250 0.3750 0.2500
S: 0.2511 0.7480 0.5031
S: 0.2520 0.2551 0.5031
S: 0.2520 0.7489 0.9969
S: 0.2551 0.2520 0.0031
S: 0.7449 0.7480 0.9969
S: 0.7480 0.2511 0.0031
S: 0.7480 0.7449 0.4969
S: 0.7489 0.2520 0.4969

***

# ScNbCo10
Calculated powder diffraction line list, Cu Ka. Input: a structure optimized by DFT (GGA-PBE).
Peak positions follow from Bragg's law for the DFT cell and can differ from measured ones.

Top 10 peaks for 5 to 70 degrees two-theta, in order of falling intensity:
- 2θ 44.7, rel. 100
- 2θ 45.6, rel. 35
- 2θ 50.3, rel. 33
- 2θ 44.5, rel. 29
- 2θ 38.2, rel. 21
- 2θ 31.4, rel. 21
- 2θ 65.6, rel. 17
- 2θ 21.8, rel. 16
- 2θ 61.0, rel. 10
- 2θ 10.9, rel. 9

Crystal structure
Lattice parameters (Å, degrees): 3.9779 4.7068 8.1526 90.00 90.00 90.00
Fractional coordinates of all 12 atoms:
Sc: 0.0000 0.0000 0.0000
Nb: 0.0000 0.5000 0.5000
Co: 0.0000 0.0000 0.3388
Co: 0.0000 0.0000 0.6612
Co: 0.0000 0.5000 0.1711
Co: 0.0000 0.5000 0.8289
Co: 0.5000 0.0000 0.5000
Co: 0.5000 0.2534 0.2548
Co: 0.5000 0.2534 0.7452
Co: 0.5000 0.5000 0.0000
Co: 0.5000 0.7466 0.2548
Co: 0.5000 0.7466 0.7452

***

# ScNb2Co9
Calculated powder diffraction line list, Cu Ka. Input: a structure optimized by DFT (GGA-PBE).
Peak positions follow from Bragg's law for the DFT cell and can differ from measured ones.

Top 10 peaks for 5 to 70 degrees two-theta, in order of falling intensity:
- 2θ 44.6, rel. 100
- 2θ 37.8, rel. 58
- 2θ 48.3, rel. 39
- 2θ 44.1, rel. 31
- 2θ 48.1, rel. 24
- 2θ 46.7, rel. 23
- 2θ 34.5, rel. 22
- 2θ 46.6, rel. 17
- 2θ 68.2, rel. 12
- 2θ 11.3, rel. 11

Crystal structure
Lattice parameters (Å, degrees): 8.2704 8.2704 8.2704 33.44 33.44 33.44
Fractional coordinates of all 12 atoms:
Sc: 0.0000 0.0000 0.0000
Nb: 0.1390 0.1390 0.1390
Nb: 0.8610 0.8610 0.8610
Co: 0.0795 0.5877 0.5877
Co: 0.3351 0.3351 0.3351
Co: 0.4123 0.4123 0.9205
Co: 0.4123 0.9205 0.4123
Co: 0.5000 0.5000 0.5000
Co: 0.5877 0.0795 0.5877
Co: 0.5877 0.5877 0.0795
Co: 0.6649 0.6649 0.6649
Co: 0.9205 0.4123 0.4123

***

# Nb4CoSe8
Calculated powder diffraction line list, Cu Ka. Input: a structure optimized by DFT (GGA-PBE).
Peak positions follow from Bragg's law for the DFT cell and can differ from measured ones.

Top 10 peaks for 5 to 70 degrees two-theta, in order of falling intensity:
- 2θ 41.8, rel. 100
- 2θ 30.5, rel. 57
- 2θ 36.9, rel. 55
- 2θ 52.6, rel. 52
- 2θ 33.0, rel. 45
- 2θ 14.3, rel. 25
- 2θ 69.3, rel. 21
- 2θ 60.8, rel. 16
- 2θ 66.0, rel. 10
- 2θ 59.8, rel. 10

Crystal structure
Lattice parameters (Å, degrees): 6.9659 6.9659 12.3673 90.00 90.00 120.00
Fractional coordinates of all 26 atoms:
Nb: 0.0000 0.0000 0.2500
Nb: 0.0000 0.0000 0.7500
Nb: 0.0183 0.5091 0.2500
Nb: 0.4909 0.5091 0.2500
Nb: 0.4909 0.9817 0.2500
Nb: 0.5091 0.0183 0.7500
Nb: 0.5091 0.4909 0.7500
Nb: 0.9817 0.4909 0.7500
Co: 0.0000 0.0000 0.0000
Co: 0.0000 0.0000 0.5000
Se: 0.1667 0.3334 0.6159
Se: 0.1667 0.3334 0.8841
Se: 0.1667 0.8333 0.6159
Se: 0.1667 0.8333 0.8841
Se: 0.3334 0.1667 0.1159
Se: 0.3334 0.1667 0.3841
Se: 0.3333 0.6667 0.1082
Se: 0.3333 0.6667 0.3918
Se: 0.6667 0.3333 0.6082
Se: 0.6667 0.3333 0.8918
Se: 0.6666 0.8333 0.6159
Se: 0.6666 0.8333 0.8841
Se: 0.8333 0.1667 0.1159
Se: 0.8333 0.1667 0.3841
Se: 0.8333 0.6666 0.1159
Se: 0.8333 0.6666 0.3841

***

# NbCoSi2
Calculated powder diffraction line list, Cu Ka. Input: a structure optimized by DFT (GGA-PBE).
Peak positions follow from Bragg's law for the DFT cell and can differ from measured ones.

Top 10 peaks for 5 to 70 degrees two-theta, in order of falling intensity:
- 2θ 41.2, rel. 100
- 2θ 26.8, rel. 41
- 2θ 50.7, rel. 32
- 2θ 10.3, rel. 28
- 2θ 40.3, rel. 24
- 2θ 42.3, rel. 16
- 2θ 68.1, rel. 14
- 2θ 66.7, rel. 11
- 2θ 59.9, rel. 10
- 2θ 32.5, rel. 10

Crystal structure
Lattice parameters (Å, degrees): 3.6038 3.6038 8.5503 90.00 90.00 90.00
Fractional coordinates of all 8 atoms:
Nb: 0.2500 0.2500 0.2344
Nb: 0.7500 0.7500 0.7656
Co: 0.2500 0.7500 0.5000
Co: 0.7500 0.2500 0.5000
Si: 0.2500 0.2500 0.6620
Si: 0.2500 0.7500 0.0000
Si: 0.7500 0.2500 0.0000
Si: 0.7500 0.7500 0.3380